Structure and simulated X-ray diffraction stick pattern of NdP2H2O8 (a DFT-relaxed cell (GGA-PBE, the Materials Project); Cu Ka).
Kinematic intensities with the Lorentz-polarization factor, no thermal factor.

Atomic structure:
a = 6.7659 Å, b = 7.1217 Å, c = 16.7760 Å
α = 90.00°, β = 90.00°, γ = 90.00°
Space group P2_12_12_1 (No. 19)
Inequivalent atoms, fractional coordinates:
Nd (0.1388, 0.0744, 0.2287) x4
P (0.1124, 0.2811, 0.4223) x4
P (0.1724, 0.4104, 0.7393) x4
H (0.1203, 0.3748, 0.6594) x4
H (0.2122, 0.6140, 0.9232) x4
O (0.0173, 0.9257, 0.7123) x4
O (0.0570, 0.9085, 0.1071) x4
O (0.0599, 0.2239, 0.5089) x4
O (0.0668, 0.2124, 0.9692) x4
O (0.1033, 0.2718, 0.0361) x4
O (0.1454, 0.1100, 0.3687) x4
O (0.1868, 0.7502, 0.2671) x4
O (0.1943, 0.4118, 0.2406) x4

Top 10 peaks for 2θ = 10–80°, by angle:
two_theta  I_rel
10.5  100
14.1  47
21.0  15
21.2  35
25.6  22
27.2  25
29.2  18
29.7  56
33.4  16
48.1  22



Structure and simulated X-ray diffraction stick pattern of ZnPd3 (a DFT-relaxed cell (GGA-PBE, the Materials Project); Cu Ka).
Kinematic intensities with the Lorentz-polarization factor, no thermal factor.

Atomic structure:
a = 5.5819 Å, b = 5.5819 Å, c = 4.4939 Å
α = 90.00°, β = 90.00°, γ = 120.00°
Space group P6_3/mmc (No. 194)
Inequivalent atoms, fractional coordinates:
Zn (0.3333, 0.6667, 0.2500) x2
Pd (0.1683, 0.3365, 0.7500) x6

Top 10 peaks for 2θ = 10–80°, by angle:
two_theta  I_rel
18.4  1
27.1  3
32.1  1
37.2  24
40.1  26
42.5  100
55.9  15
67.1  16
74.5  18
79.3  3



Structure and simulated X-ray diffraction stick pattern of KCN (a DFT-relaxed cell (GGA-PBE, the Materials Project); Cu Ka).
Kinematic intensities with the Lorentz-polarization factor, no thermal factor.

Atomic structure:
a = 7.5706 Å, b = 2.4309 Å, c = 4.9276 Å
α = 90.00°, β = 95.36°, γ = 90.00°
Space group Cm (No. 8)
Inequivalent atoms, fractional coordinates:
K (0.0000, 0.0000, 0.0000) x2
C (0.2390, 0.5000, 0.4375) x2
N (0.2551, 0.0000, 0.5911) x2

Top 10 peaks for 2θ = 10–80°, by angle:
two_theta  I_rel
18.1  23
28.5  100
31.2  71
36.6  34
38.9  30
43.7  36
48.3  18
52.4  14
53.7  24
54.6  14